# Ti4Ni2Pt3
Simulated PXRD pattern, Cu Ka. Input: a crystal structure in Alexandria, relaxed with PBE.

Cell and atoms:
```
data_Ti4Ni2Pt3
_chemical_formula_sum 'Ti8 Ni4 Pt6'
_cell_length_a 8.6653
_cell_length_b 3.8509
_cell_length_c 8.2531
_cell_angle_alpha 90.00
_cell_angle_beta 105.19
_cell_angle_gamma 90.00
_symmetry_space_group_name_H-M 'C 1 2/m 1'
_symmetry_Int_Tables_number 12
_symmetry_space_group_name_Hall '-C 2y'
loop_
_atom_site_label
_atom_site_type_symbol
_atom_site_fract_x
_atom_site_fract_y
_atom_site_fract_z
_atom_site_occupancy
Ti1 Ti 0.0216 0.0000 0.3352 1
Ti2 Ti 0.1689 0.5000 0.8891 1
Ni1 Ni 0.1656 0.5000 0.2150 1
Pt1 Pt 0.0000 0.0000 0.0000 1
Pt2 Pt 0.1639 0.5000 0.5682 1
```

Main lines, most intense first (2θ from 10° to 90°):
h k l	2θ/deg	Rel. int.
3 1 0	39.9	100
1 1 -3	40.3	96
1 1 -1	26.7	48
2 0 3	45.0	43
2 0 1	26.6	33
0 2 0	47.2	31
2 2 3	67.2	31
4 0 -3	47.8	29
0 0 2	22.3	24
4 2 -3	69.4	19

---

# Pm2Nd5Sm5
Simulated PXRD pattern, Cu Ka. Input: a crystal structure in Alexandria, relaxed with PBE.

Cell and atoms:
```
data_Pm2Nd5Sm5
_chemical_formula_sum 'Pm4 Nd10 Sm10'
_cell_length_a 15.5111
_cell_length_b 5.1660
_cell_length_c 11.5638
_cell_angle_alpha 90.00
_cell_angle_beta 116.55
_cell_angle_gamma 90.00
_symmetry_space_group_name_H-M 'C 1 2/m 1'
_symmetry_Int_Tables_number 12
_symmetry_space_group_name_Hall '-C 2y'
loop_
_atom_site_label
_atom_site_type_symbol
_atom_site_fract_x
_atom_site_fract_y
_atom_site_fract_z
_atom_site_occupancy
Pm1 Pm 0.0832 0.0000 0.2506 1
Nd1 Nd 0.0000 0.0000 0.5000 1
Nd2 Nd 0.1659 0.0000 0.9996 1
Nd3 Nd 0.2499 0.0000 0.7493 1
Sm1 Sm 0.0000 0.5000 0.0000 1
Sm2 Sm 0.0828 0.5000 0.7495 1
Sm3 Sm 0.1669 0.5000 0.5002 1
```

Main lines, most intense first (2θ from 10° to 90°):
h k l	2θ/deg	Rel. int.
3 1 1	29.9	100
0 2 0	34.7	51
3 3 1	59.3	43
6 0 2	49.9	36
9 1 3	81.1	18
12 0 0	83.6	14
6 2 2	62.2	12
0 0 8	73.2	4
6 4 -2	83.7	3
0 4 0	73.3	2

---

# Ho3TlPt
Simulated PXRD pattern, Cu Ka. Input: a crystal structure in Alexandria, relaxed with PBE.

Cell and atoms:
```
data_Ho3TlPt
_chemical_formula_sum 'Ho6 Tl2 Pt2'
_cell_length_a 4.7662
_cell_length_b 6.8413
_cell_length_c 8.4054
_cell_angle_alpha 90.00
_cell_angle_beta 90.00
_cell_angle_gamma 90.00
_symmetry_space_group_name_H-M 'P m m n'
_symmetry_Int_Tables_number 59
loop_
_symmetry_equiv_pos_as_xyz
'x,y,z'
'-x,-y,-z'
'-x+1/2,-y+1/2,z'
'x+1/2,y+1/2,-z'
'x+1/2,-y,-z'
'-x+1/2,y,z'
'-x,y+1/2,-z'
'x,-y+1/2,z'
loop_
_atom_site_label
_atom_site_type_symbol
_atom_site_fract_x
_atom_site_fract_y
_atom_site_fract_z
_atom_site_occupancy
Ho1 Ho 0.2500 0.0022 0.1617 1
Ho2 Ho 0.2500 0.7500 0.5642 1
Tl1 Tl 0.2500 0.2500 0.6693 1
Pt1 Pt 0.2500 0.7500 0.8964 1
```

Main lines, most intense first (2θ from 10° to 90°):
h k l	2θ/deg	Rel. int.
1 2 1	34.0	100
2 0 0	37.7	37
1 0 2	28.3	31
1 1 2	31.2	23
3 2 1	65.8	19
1 1 3	39.6	17
0 1 2	24.9	16
0 2 1	28.2	14
0 1 3	34.6	14
2 4 0	67.4	14

---

# La2ReF2
Simulated PXRD pattern, Cu Ka. Input: a crystal structure in Alexandria, relaxed with PBE.

Cell and atoms:
```
data_La2ReF2
_chemical_formula_sum 'La4 Re2 F4'
_cell_length_a 5.1871
_cell_length_b 5.1871
_cell_length_c 7.3300
_cell_angle_alpha 90.00
_cell_angle_beta 90.00
_cell_angle_gamma 90.00
_symmetry_space_group_name_H-M 'I 4/m m m'
_symmetry_Int_Tables_number 139
_symmetry_space_group_name_Hall '-I 4 2'
loop_
_atom_site_label
_atom_site_type_symbol
_atom_site_fract_x
_atom_site_fract_y
_atom_site_fract_z
_atom_site_occupancy
La1 La 0.0000 0.5000 0.2500 1
Re1 Re 0.0000 0.0000 0.0000 1
F1 F 0.0000 0.0000 0.2981 1
```

Main lines, most intense first (2θ from 10° to 90°):
h k l	2θ/deg	Rel. int.
2 0 0	34.6	100
2 0 4	62.0	36
1 0 1	21.0	34
1 0 3	40.8	22
2 2 0	49.7	21
4 2 0	83.3	17
4 0 0	73.0	13
2 1 3	54.5	11
3 2 3	76.9	7
3 0 3	66.2	7

---

# K3Cd3Hg2
Simulated PXRD pattern, Cu Ka. Input: a crystal structure in Alexandria, relaxed with PBE.

Cell and atoms:
```
data_K3Cd3Hg2
_chemical_formula_sum 'K12 Cd12 Hg8'
_cell_length_a 9.3046
_cell_length_b 17.9655
_cell_length_c 6.7160
_cell_angle_alpha 90.00
_cell_angle_beta 90.00
_cell_angle_gamma 90.00
_symmetry_space_group_name_H-M 'P n m a'
_symmetry_Int_Tables_number 62
_symmetry_space_group_name_Hall '-P 2ac 2n'
loop_
_atom_site_label
_atom_site_type_symbol
_atom_site_fract_x
_atom_site_fract_y
_atom_site_fract_z
_atom_site_occupancy
K1 K 0.0342 0.1079 0.1161 1
K2 K 0.1789 0.2500 0.6167 1
Cd1 Cd 0.1772 0.7500 0.6101 1
Cd2 Cd 0.1836 0.0346 0.6060 1
Hg1 Hg 0.1085 0.6080 0.3869 1
```

Main lines, most intense first (2θ from 10° to 90°):
h k l	2θ/deg	Rel. int.
1 0 1	16.3	100
1 3 2	32.0	84
1 4 2	34.7	84
2 4 1	30.7	80
0 3 1	19.9	70
3 0 1	31.8	52
2 1 0	19.7	49
1 7 1	38.8	47
2 4 0	27.6	43
2 7 0	40.1	42

---

# NaScMnSe3
Simulated PXRD pattern, Cu Ka. Input: a crystal structure in Alexandria, relaxed with PBE.

Cell and atoms:
```
data_NaScMnSe3
_chemical_formula_sum 'Na4 Sc4 Mn4 Se12'
_cell_length_a 3.9596
_cell_length_b 13.7566
_cell_length_c 10.5886
_cell_angle_alpha 90.00
_cell_angle_beta 90.00
_cell_angle_gamma 90.00
_symmetry_space_group_name_H-M 'C m c m'
_symmetry_Int_Tables_number 63
_symmetry_space_group_name_Hall '-C 2c 2'
loop_
_atom_site_label
_atom_site_type_symbol
_atom_site_fract_x
_atom_site_fract_y
_atom_site_fract_z
_atom_site_occupancy
Na1 Na 0.0000 0.2455 0.2500 1
Sc1 Sc 0.0000 0.0000 0.0000 1
Mn1 Mn 0.0000 0.4682 0.7500 1
Se1 Se 0.0000 0.0805 0.7500 1
Se2 Se 0.0000 0.3691 0.5580 1
```

Main lines, most intense first (2θ from 10° to 90°):
h k l	2θ/deg	Rel. int.
1 3 1	31.0	100
1 3 2	34.4	72
0 2 0	12.9	68
0 2 3	28.4	63
1 5 2	43.6	46
1 5 3	47.8	33
1 3 5	52.9	33
2 0 0	45.8	31
0 0 4	33.9	28
1 3 0	29.8	25

---

# Ba5Lu2ZrAl2O13
Simulated PXRD pattern, Cu Ka. Input: a crystal structure in Alexandria, relaxed with PBE.

Cell and atoms:
```
data_Ba5Lu2ZrAl2O13
_chemical_formula_sum 'Ba10 Lu4 Zr2 Al4 O26'
_cell_length_a 5.9812
_cell_length_b 5.9812
_cell_length_c 24.9883
_cell_angle_alpha 90.00
_cell_angle_beta 90.00
_cell_angle_gamma 120.00
_symmetry_space_group_name_H-M 'P 63/m m c'
_symmetry_Int_Tables_number 194
_symmetry_space_group_name_Hall '-P 6c 2c'
loop_
_atom_site_label
_atom_site_type_symbol
_atom_site_fract_x
_atom_site_fract_y
_atom_site_fract_z
_atom_site_occupancy
Ba1 Ba 0.0000 0.0000 0.1377 1
Ba2 Ba 0.3333 0.6667 0.0420 1
Ba3 Ba 0.3333 0.6667 0.7500 1
Lu1 Lu 0.3333 0.6667 0.6036 1
Zr1 Zr 0.0000 0.0000 0.0000 1
Al1 Al 0.3333 0.6667 0.1803 1
O1 O 0.0082 0.5041 0.1573 1
O2 O 0.1641 0.3283 0.5508 1
O3 O 0.3333 0.6667 0.2500 1
```

Main lines, most intense first (2θ from 10° to 90°):
h k l	2θ/deg	Rel. int.
1 1 0	29.9	100
1 0 7	30.4	65
2 0 7	43.2	32
2 1 7	53.4	26
1 0 6	27.5	25
3 0 0	53.0	20
1 0 1	17.5	20
2 2 0	62.1	19
2 0 6	41.0	17
1 0 14	54.4	15

---

# ZrCr2B4
Simulated PXRD pattern, Cu Ka. Input: a crystal structure in Alexandria, relaxed with PBE.

Cell and atoms:
```
data_ZrCr2B4
_chemical_formula_sum 'Zr2 Cr4 B8'
_cell_length_a 3.0301
_cell_length_b 3.2871
_cell_length_c 13.2157
_cell_angle_alpha 90.00
_cell_angle_beta 90.00
_cell_angle_gamma 90.00
_symmetry_space_group_name_H-M 'I m m m'
_symmetry_Int_Tables_number 71
_symmetry_space_group_name_Hall '-I 2 2'
loop_
_atom_site_label
_atom_site_type_symbol
_atom_site_fract_x
_atom_site_fract_y
_atom_site_fract_z
_atom_site_occupancy
Zr1 Zr 0.0000 0.0000 0.0000 1
Cr1 Cr 0.0000 0.5000 0.3116 1
B1 B 0.0000 0.0000 0.4238 1
B2 B 0.0000 0.5000 0.1461 1
```

Main lines, most intense first (2θ from 10° to 90°):
h k l	2θ/deg	Rel. int.
1 1 2	42.8	100
1 0 3	36.0	77
0 1 5	44.0	59
0 1 1	28.0	58
0 0 6	41.0	23
1 2 3	68.3	21
1 1 8	71.0	20
1 1 4	49.3	19
2 1 5	78.3	19
0 2 0	55.9	17

---

# Ce21Fe8Bi7C12
Simulated PXRD pattern, Cu Ka. Input: a crystal structure in Alexandria, relaxed with PBE.

Cell and atoms:
```
data_Ce21Fe8Bi7C12
_chemical_formula_sum 'Ce84 Fe32 Bi28 C48'
_cell_length_a 16.0265
_cell_length_b 16.0265
_cell_length_c 16.0265
_cell_angle_alpha 90.00
_cell_angle_beta 90.00
_cell_angle_gamma 90.00
_symmetry_space_group_name_H-M 'F m -3 m'
_symmetry_Int_Tables_number 225
_symmetry_space_group_name_Hall '-F 4 2 3'
loop_
_atom_site_label
_atom_site_type_symbol
_atom_site_fract_x
_atom_site_fract_y
_atom_site_fract_z
_atom_site_occupancy
Ce1 Ce 0.0000 0.0000 0.0000 1
Ce2 Ce 0.0000 0.1709 0.3291 1
Ce3 Ce 0.1386 0.1386 0.1386 1
Fe1 Fe 0.1940 0.1940 0.3060 1
Bi1 Bi 0.0000 0.0000 0.2086 1
Bi2 Bi 0.0000 0.0000 0.5000 1
C1 C 0.1038 0.2500 0.2500 1
```

Main lines, most intense first (2θ from 10° to 90°):
h k l	2θ/deg	Rel. int.
3 3 3	28.9	100
6 0 0	33.6	79
4 4 0	31.6	42
5 3 1	33.1	42
5 5 3	43.4	38
6 6 0	48.2	34
7 7 3	59.7	24
9 3 3	57.2	20
10 4 0	62.4	16
8 4 4	56.2	14

---

# HfPa2TcN6
Simulated PXRD pattern, Cu Ka. Input: a crystal structure in Alexandria, relaxed with PBE.

Cell and atoms:
```
data_HfPa2TcN6
_chemical_formula_sum 'Hf1 Pa2 Tc1 N6'
_cell_length_a 5.3680
_cell_length_b 5.3680
_cell_length_c 4.9808
_cell_angle_alpha 90.00
_cell_angle_beta 90.00
_cell_angle_gamma 90.00
_symmetry_space_group_name_H-M 'P 4 m m'
_symmetry_Int_Tables_number 99
_symmetry_space_group_name_Hall 'P 4 -2'
loop_
_atom_site_label
_atom_site_type_symbol
_atom_site_fract_x
_atom_site_fract_y
_atom_site_fract_z
_atom_site_occupancy
Hf1 Hf 0.0000 0.0000 0.0000 1
Pa1 Pa 0.0000 0.5000 0.4104 1
Tc1 Tc 0.5000 0.5000 0.9945 1
N1 N 0.0000 0.0000 0.5939 1
N2 N 0.2559 0.2559 0.1690 1
N3 N 0.5000 0.5000 0.6382 1
```

Main lines, most intense first (2θ from 10° to 90°):
h k l	2θ/deg	Rel. int.
1 1 1	29.6	100
2 0 0	33.4	38
3 1 1	57.3	32
2 0 2	50.0	22
2 2 0	47.9	18
0 0 1	17.8	15
1 1 2	43.5	14
0 0 2	36.1	10
2 2 2	61.4	9
3 1 2	66.7	8

---

# Ca6Cr2HN6
Simulated PXRD pattern, Cu Ka. Input: a crystal structure in Alexandria, relaxed with PBE.

Cell and atoms:
```
data_Ca6Cr2HN6
_chemical_formula_sum 'Ca18 Cr6 H3 N18'
_cell_length_a 8.9970
_cell_length_b 8.9970
_cell_length_c 9.2129
_cell_angle_alpha 90.00
_cell_angle_beta 90.00
_cell_angle_gamma 120.00
_symmetry_space_group_name_H-M 'R -3'
_symmetry_Int_Tables_number 148
_symmetry_space_group_name_Hall '-R 3'
loop_
_atom_site_label
_atom_site_type_symbol
_atom_site_fract_x
_atom_site_fract_y
_atom_site_fract_z
_atom_site_occupancy
Ca1 Ca 0.0540 0.7858 0.1583 1
Cr1 Cr 0.0000 0.0000 0.3783 1
H1 H 0.0000 0.0000 0.0000 1
N1 N 0.0441 0.8343 0.6814 1
```

Main lines, most intense first (2θ from 10° to 90°):
h k l	2θ/deg	Rel. int.
1 2 2	36.2	100
3 -1 1	31.9	79
1 1 3	35.4	47
1 0 1	14.9	42
4 1 0	53.9	38
3 -1 4	50.3	24
1 3 1	43.0	16
2 4 1	64.0	16
4 0 4	62.4	15
1 0 4	40.9	15